Simulated PXRD pattern
Compound: Pm3Sm8Sc
Radiation: λ = 1.5418 Å (Cu Kα)
Structure: DFT lattice parameters and positions (GGA-PBE)
Lines closer than 0.1° are merged.

Main lines, in order of rising 2θ (2θ from 15° to 90°):
| 2θ/deg | I_rel |
| --- | --- |
| 24.07 | 87 |
| 25.63 | 87 |
| 28.92 | 82 |
| 31.14 | 76 |
| 32.75 | 46 |
| 36.09 | 100 |
| 43.01 | 49 |
| 44.39 | 49 |
| 58.67 | 31 |
| 69.08 | 31 |

Structure:
```
12
Lattice="-4.366 4.366 5.744 4.366 -4.366 5.744 4.366 4.366 -5.744" Properties=species:S:1:pos:R:3 pbc="T T T"
Pm 0.000 0.000 0.000
Pm 4.366 0.000 2.872
Pm 0.000 4.366 2.872
Sm 1.097 -1.097 2.957
Sm 2.288 2.288 -0.223
Sm 2.078 -2.078 5.967
Sm -1.097 1.097 2.957
Sm 3.269 3.269 2.787
Sm 2.078 2.078 5.521
Sm -2.078 2.078 5.967
Sm 1.097 1.097 8.532
Sc 0.000 0.000 5.744
```

=====

Simulated PXRD pattern
Compound: LiCuAuO2
Radiation: λ = 1.5418 Å (Cu Kα)
Structure: DFT lattice parameters and positions (GGA-PBE)
Lines closer than 0.1° are merged.

Main lines, in order of rising 2θ (2θ from 15° to 90°):
| 2θ/deg | I_rel |
| --- | --- |
| 27.45 | 25 |
| 31.52 | 40 |
| 32.53 | 100 |
| 36.33 | 51 |
| 38.97 | 25 |
| 41.70 | 20 |
| 45.38 | 28 |
| 55.47 | 28 |
| 61.50 | 17 |
| 71.73 | 23 |

Structure:
```
15
Lattice="3.313 0.000 0.000 -1.657 2.869 0.000 0.000 0.000 19.496" Properties=species:S:1:pos:R:3 pbc="T T T"
Li 0.000 0.000 0.000
Li 0.000 1.913 12.997
Li 1.657 0.956 6.499
Cu 0.000 0.000 14.950
Cu 0.000 1.913 8.452
Cu 1.657 0.956 1.953
Au 0.000 0.000 4.381
Au 0.000 1.913 17.379
Au 1.657 0.956 10.880
O 0.000 0.000 2.264
O 0.000 0.000 6.398
O 0.000 1.913 15.261
O 0.000 1.913 19.396
O 1.657 0.956 8.762
O 1.657 0.956 12.897
```

=====

Simulated PXRD pattern
Compound: MgGeAu4
Radiation: λ = 1.5418 Å (Cu Kα)
Structure: DFT lattice parameters and positions (GGA-PBE)
Lines closer than 0.1° are merged.

Main lines, in order of rising 2θ (2θ from 15° to 90°):
| 2θ/deg | I_rel |
| --- | --- |
| 23.89 | 61 |
| 29.96 | 20 |
| 33.38 | 100 |
| 38.11 | 59 |
| 41.07 | 75 |
| 41.38 | 60 |
| 41.55 | 57 |
| 45.48 | 23 |
| 56.41 | 19 |
| 70.11 | 20 |

Structure:
```
12
Lattice="8.148 0.000 0.000 0.000 4.723 0.000 -2.643 0.000 5.966" Properties=species:S:1:pos:R:3 pbc="T T T"
Mg 0.000 0.000 0.000
Mg 4.074 2.362 0.000
Ge -1.322 0.000 2.983
Ge 2.752 2.362 2.983
Au 1.321 2.362 0.592
Au 0.021 2.362 3.537
Au 1.410 0.000 2.428
Au 0.110 0.000 5.373
Au 5.395 0.000 0.592
Au 4.095 0.000 3.537
Au 5.484 2.362 2.428
Au 4.184 2.362 5.373
```

=====

Simulated PXRD pattern
Compound: Pr6Zn2O
Radiation: λ = 1.5418 Å (Cu Kα)
Structure: DFT lattice parameters and positions (GGA-PBE)
Lines closer than 0.1° are merged.

Main lines, in order of rising 2θ (2θ from 15° to 90°):
| 2θ/deg | I_rel |
| --- | --- |
| 28.71 | 36 |
| 28.97 | 31 |
| 29.41 | 36 |
| 29.51 | 32 |
| 30.08 | 100 |
| 30.67 | 36 |
| 30.83 | 35 |
| 31.61 | 27 |
| 32.93 | 24 |
| 34.21 | 33 |

Structure:
```
18
Lattice="6.670 0.000 0.000 0.000 7.213 0.000 -6.558 0.000 10.485" Properties=species:S:1:pos:R:3 pbc="T T T"
Pr -0.779 0.117 2.517
Pr -4.058 3.489 7.759
Pr 1.199 5.049 0.494
Pr -2.080 5.770 5.736
Pr 2.117 1.363 0.480
Pr -1.162 2.244 5.722
Pr 1.274 4.969 4.762
Pr -2.006 5.850 10.004
Pr 2.192 1.443 4.748
Pr -1.087 2.163 9.990
Pr 4.170 3.724 2.725
Pr 0.891 7.095 7.967
Zn -2.782 0.652 7.867
Zn 0.497 2.954 2.624
Zn -0.386 4.258 7.860
Zn 2.893 6.561 2.618
O 0.000 0.000 0.000
O -3.279 3.606 5.242
```

=====

Simulated PXRD pattern
Compound: LaPr6Tl5
Radiation: λ = 1.5418 Å (Cu Kα)
Structure: DFT lattice parameters and positions (GGA-PBE)
Lines closer than 0.1° are merged.

Main lines, in order of rising 2θ (2θ from 15° to 90°):
| 2θ/deg | I_rel |
| --- | --- |
| 31.18 | 25 |
| 31.73 | 27 |
| 32.08 | 100 |
| 45.08 | 19 |
| 46.89 | 9 |
| 56.06 | 17 |
| 56.74 | 20 |
| 57.39 | 9 |
| 57.73 | 9 |
| 67.08 | 11 |

Structure:
```
12
Lattice="2.820 -8.604 0.000 2.820 8.604 0.000 0.000 0.000 7.750" Properties=species:S:1:pos:R:3 pbc="T T T"
La 0.000 0.000 0.000
Pr 2.820 5.602 1.927
Pr 2.820 5.602 5.824
Pr 2.820 0.000 2.101
Pr 2.820 0.000 5.650
Pr 2.820 -5.602 1.927
Pr 2.820 -5.602 5.824
Tl 0.000 0.000 3.875
Tl 2.820 2.874 3.875
Tl 2.820 2.587 0.000
Tl 2.820 -2.587 0.000
Tl 2.820 -2.874 3.875
```

=====

Simulated PXRD pattern
Compound: RbNaRhCl6
Radiation: λ = 1.5418 Å (Cu Kα)
Structure: DFT lattice parameters and positions (GGA-PBE)
Lines closer than 0.1° are merged.

Main lines, in order of rising 2θ (2θ from 15° to 90°):
| 2θ/deg | I_rel |
| --- | --- |
| 19.57 | 100 |
| 25.94 | 11 |
| 28.95 | 29 |
| 32.70 | 17 |
| 36.63 | 56 |
| 42.21 | 27 |
| 45.76 | 19 |
| 49.60 | 12 |
| 56.82 | 13 |
| 57.37 | 12 |

Structure:
```
9
Lattice="3.432 -5.953 0.000 3.432 5.953 0.000 -0.006 0.000 7.012" Properties=species:S:1:pos:R:3 pbc="T T T"
Rb 0.000 0.000 0.000
Na 3.429 -1.981 3.506
Rh 3.429 1.984 3.506
Cl 1.516 2.046 2.146
Cl 2.422 3.608 4.871
Cl 2.530 0.298 4.871
Cl 4.437 3.608 2.142
Cl 4.328 0.298 2.141
Cl 5.342 2.046 4.866
```

=====

Simulated PXRD pattern
Compound: Tb2Pr4Al
Radiation: λ = 1.5418 Å (Cu Kα)
Structure: DFT lattice parameters and positions (GGA-PBE)
Lines closer than 0.1° are merged.

Main lines, in order of rising 2θ (2θ from 15° to 90°):
| 2θ/deg | I_rel |
| --- | --- |
| 27.17 | 12 |
| 27.94 | 15 |
| 28.07 | 18 |
| 30.46 | 27 |
| 31.82 | 100 |
| 32.59 | 39 |
| 41.62 | 17 |
| 49.36 | 29 |
| 56.19 | 13 |
| 59.93 | 34 |

Structure:
```
7
Lattice="1.846 1.066 19.692 -1.846 1.066 19.692 0.000 -2.132 19.692" Properties=species:S:1:pos:R:3 pbc="T T T"
Tb 0.000 0.000 11.267
Tb 0.000 0.000 47.809
Pr 0.000 0.000 5.519
Pr 0.000 0.000 17.362
Pr 0.000 0.000 41.713
Pr 0.000 0.000 53.556
Al 0.000 0.000 0.000
```

=====

Simulated PXRD pattern
Compound: PaAg2Te5
Radiation: λ = 1.5418 Å (Cu Kα)
Structure: DFT lattice parameters and positions (GGA-PBE)
Lines closer than 0.1° are merged.

Main lines, in order of rising 2θ (2θ from 15° to 90°):
| 2θ/deg | I_rel |
| --- | --- |
| 16.02 | 44 |
| 24.69 | 75 |
| 29.12 | 24 |
| 29.68 | 100 |
| 31.10 | 41 |
| 33.25 | 75 |
| 38.97 | 45 |
| 43.51 | 35 |
| 45.16 | 64 |
| 49.89 | 22 |

Structure:
```
16
Lattice="3.010 -7.019 0.000 3.010 7.019 0.000 0.000 0.000 12.612" Properties=species:S:1:pos:R:3 pbc="T T T"
Pa 3.010 4.068 9.459
Pa 3.010 -4.068 3.153
Ag 3.010 4.595 0.825
Ag 3.010 4.595 5.481
Ag 3.010 -4.595 7.131
Ag 3.010 -4.595 11.786
Te 3.010 6.680 7.990
Te 3.010 6.680 10.928
Te 3.010 2.883 3.153
Te 3.010 2.250 7.126
Te 3.010 2.250 11.791
Te 3.010 -2.250 0.821
Te 3.010 -2.250 5.485
Te 3.010 -2.883 9.459
Te 3.010 -6.680 1.684
Te 3.010 -6.680 4.622
```